[1]
Structure and computed PXRD pattern of Ac5Nd2Pb4 (DFT lattice parameters and positions (PBE); Cu Ka).

Atomic structure:
```
data_Ac5Nd2Pb4
_symmetry_space_group_name_H-M 'C 1 2/m 1'
_symmetry_Int_Tables_number 12
_symmetry_space_group_name_Hall '-C 2y'
_cell_length_a 24.8786
_cell_length_b 3.8267
_cell_length_c 8.8446
_cell_angle_alpha 90.00
_cell_angle_beta 95.61
_cell_angle_gamma 90.00
loop_
_atom_site_label
_atom_site_type_symbol
_atom_site_fract_x
_atom_site_fract_y
_atom_site_fract_z
Ac1 Ac 0.0000 0.0000 0.0000
Ac2 Ac 0.1291 0.5000 0.0385
Ac3 Ac 0.1759 0.5000 0.4787
Nd1 Nd 0.2272 0.0000 0.8283
Pb1 Pb 0.0345 0.5000 0.3527
Pb2 Pb 0.0863 0.0000 0.6969
```

Largest 10 diffraction maxima, in order of rising 2θ, 5° ≤ 2θ ≤ 70°:
Position (°2θ)  I_rel
25.78  53
29.65  99
30.62  91
31.13  71
31.82  100
32.18  100
47.52  31
49.98  50
57.02  34
59.10  31

---

[2]
Structure and computed PXRD pattern of Dy2Rh2Pb (DFT lattice parameters and positions (PBE); Cu Ka).

Atomic structure:
```
data_Dy2Rh2Pb
_symmetry_space_group_name_H-M 'I m m m'
_symmetry_Int_Tables_number 71
_symmetry_space_group_name_Hall '-I 2 2'
_cell_length_a 4.5379
_cell_length_b 5.9277
_cell_length_c 8.1746
_cell_angle_alpha 90.00
_cell_angle_beta 90.00
_cell_angle_gamma 90.00
loop_
_atom_site_label
_atom_site_type_symbol
_atom_site_fract_x
_atom_site_fract_y
_atom_site_fract_z
Dy1 Dy 0.0000 0.0000 0.2062
Rh1 Rh 0.0000 0.2787 0.5000
Pb1 Pb 0.0000 0.5000 0.0000
```

Largest 10 diffraction maxima, in order of rising 2θ, 5° ≤ 2θ ≤ 70°:
Position (°2θ)  I_rel
30.15  13
33.14  100
36.28  24
37.89  63
39.73  31
44.32  13
54.89  15
55.48  12
67.94  13
68.76  24

---

[3]
Structure and computed PXRD pattern of Ba2Tl5Hg5 (DFT lattice parameters and positions (PBE); Cu Ka).

Atomic structure:
```
data_Ba2Tl5Hg5
_symmetry_space_group_name_H-M 'P m m m'
_symmetry_Int_Tables_number 47
_symmetry_space_group_name_Hall '-P 2 2'
_cell_length_a 5.2556
_cell_length_b 6.5347
_cell_length_c 11.2542
_cell_angle_alpha 90.00
_cell_angle_beta 90.00
_cell_angle_gamma 90.00
loop_
_atom_site_label
_atom_site_type_symbol
_atom_site_fract_x
_atom_site_fract_y
_atom_site_fract_z
Ba1 Ba 0.0000 0.0000 0.0000
Ba2 Ba 0.0000 0.5000 0.5000
Tl1 Tl 0.5000 0.0000 0.5000
Tl2 Tl 0.5000 0.2520 0.2466
Hg1 Hg 0.0000 0.0000 0.3316
Hg2 Hg 0.0000 0.5000 0.1577
Hg3 Hg 0.5000 0.5000 0.0000
```

Largest 10 diffraction maxima, in order of rising 2θ, 5° ≤ 2θ ≤ 70°:
Position (°2θ)  I_rel
15.70  55
31.67  30
32.26  51
32.36  100
34.12  52
36.09  60
36.21  34
47.26  28
51.54  28
67.75  29

---

[4]
Structure and computed PXRD pattern of Ag2GeCl (DFT lattice parameters and positions (PBE); Cu Ka).

Atomic structure:
```
data_Ag2GeCl
_symmetry_space_group_name_H-M 'I -4 2 d'
_symmetry_Int_Tables_number 122
_symmetry_space_group_name_Hall 'I -4 2bw'
_cell_length_a 6.8024
_cell_length_b 6.8024
_cell_length_c 8.2656
_cell_angle_alpha 90.00
_cell_angle_beta 90.00
_cell_angle_gamma 90.00
loop_
_atom_site_label
_atom_site_type_symbol
_atom_site_fract_x
_atom_site_fract_y
_atom_site_fract_z
Ag1 Ag 0.2376 0.2500 0.1250
Ge1 Ge 0.0000 0.0000 0.0000
Cl1 Cl 0.0000 0.0000 0.5000
```

Largest 10 diffraction maxima, in order of rising 2θ, 5° ≤ 2θ ≤ 70°:
Position (°2θ)  I_rel
16.88  7
26.20  12
28.47  100
37.39  42
47.66  45
49.56  2
51.77  32
53.91  14
58.93  2
62.09  10

---

[5]
Structure and computed PXRD pattern of KIn8Ag2 (DFT lattice parameters and positions (PBE); Cu Ka).

Atomic structure:
```
data_KIn8Ag2
_symmetry_space_group_name_H-M 'P 4/m m m'
_symmetry_Int_Tables_number 123
_symmetry_space_group_name_Hall '-P 4 2'
_cell_length_a 6.3465
_cell_length_b 6.3465
_cell_length_c 9.7146
_cell_angle_alpha 90.00
_cell_angle_beta 90.00
_cell_angle_gamma 90.00
loop_
_atom_site_label
_atom_site_type_symbol
_atom_site_fract_x
_atom_site_fract_y
_atom_site_fract_z
K1 K 0.0000 0.0000 0.0000
In1 In 0.2515 0.2515 0.3089
Ag1 Ag 0.0000 0.5000 0.5000
```

Largest 10 diffraction maxima, in order of rising 2θ, 5° ≤ 2θ ≤ 70°:
Position (°2θ)  I_rel
9.10  100
18.26  14
21.82  15
27.55  13
28.12  25
33.74  64
39.77  47
40.19  31
63.32  13
68.94  15